1.
This entry pairs a crystal structure of RbAgAu with its theoretical powder XRD pattern. Radiation: Cu Ka. Structure: a crystal structure in Alexandria, relaxed with GGA-PBE.
Kinematic intensities with the Lorentz-polarization factor, no thermal factor.

Largest 10 diffraction maxima, by intensity, 10 to 90 degrees two-theta:
d = 4.549 Å, I = 100, (0 1 -1); d = 2.490 Å, I = 98, (2 -1 0); d = 2.501 Å, I = 85, (0 1 -3); d = 2.469 Å, I = 79, (0 2 -1); d = 2.797 Å, I = 78, (0 1 2); d = 3.043 Å, I = 60, (1 1 0); d = 4.884 Å, I = 46, (1 0 0); d = 4.093 Å, I = 41, (1 -1 0); d = 3.624 Å, I = 40, (1 -1 1); d = 3.378 Å, I = 38, (1 0 -2)

Atomic structure:
```
6
Lattice="5.154 0.000 0.000 -1.346 4.976 0.000 -1.174 -1.513 7.796" Properties=species:S:1:pos:R:3 pbc="T T T"
Rb 0.000 0.000 0.000
Rb -0.064 -0.059 3.446
Ag 0.007 1.448 6.657
Ag 1.196 3.001 4.583
Au 1.173 2.994 1.723
Au 2.566 0.720 5.622
```



2.
This entry pairs a crystal structure of Sr2Sc2Tl with its theoretical powder XRD pattern. Radiation: Cu Ka. Structure: a crystal structure in Alexandria, relaxed with GGA-PBE.
Kinematic intensities with the Lorentz-polarization factor, no thermal factor.

Largest 10 diffraction maxima, by intensity, 10 to 90 degrees two-theta:
d = 3.209 Å, I = 100, (2 0 1); d = 3.949 Å, I = 94, (1 1 1); d = 2.967 Å, I = 88, (2 1 1); d = 2.463 Å, I = 74, (3 1 0); d = 1.859 Å, I = 63, (3 1 2); d = 2.832 Å, I = 53, (0 0 2); d = 5.508 Å, I = 35, (1 1 0); d = 2.754 Å, I = 29, (2 2 0); d = 2.259 Å, I = 28, (3 1 1); d = 1.974 Å, I = 23, (2 2 2)

Atomic structure:
```
10
Lattice="7.790 0.000 0.000 0.000 7.790 0.000 0.000 0.000 5.664" Properties=species:S:1:pos:R:3 pbc="T T T"
Sr 1.327 2.568 0.000
Sr 2.568 6.462 0.000
Sr 5.222 1.327 0.000
Sr 6.462 5.222 0.000
Sc 1.123 5.017 2.832
Sc 2.772 1.123 2.832
Sc 5.017 6.667 2.832
Sc 6.667 2.772 2.832
Tl 0.000 0.000 2.832
Tl 3.895 3.895 2.832
```